No. 1
Starting from a cell relaxed with PBE, the X-ray diffraction stick pattern of Dy2Y2Th3 was computed for CuKα.
Intensities are scaled so that the largest is 100.

Crystal structure
Lattice parameters (Å, degrees): 8.8993 8.8993 8.4587 116.84 116.84 22.53
Positions (direct):
1 Dy 0.1479 0.1479 0.3350
2 Dy 0.8521 0.8521 0.6650
3 Y 0.4316 0.4316 0.0964
4 Y 0.5684 0.5684 0.9036
5 Th 0.0000 0.0000 0.5000
6 Th 0.2127 0.2127 0.7934
7 Th 0.7873 0.7873 0.2066

Main lines, in order of falling intensity (2θ from 10° to 90°):
- 31.00 deg, 2.885 Å, I = 100
- 30.88 deg, 2.896 Å, I = 80
- 33.98 deg, 2.639 Å, I = 66
- 32.44 deg, 2.760 Å, I = 65
- 27.74 deg, 3.216 Å, I = 54
- 62.32 deg, 1.490 Å, I = 44
- 36.11 deg, 2.487 Å, I = 41
- 38.93 deg, 2.314 Å, I = 33
- 55.61 deg, 1.653 Å, I = 26
- 53.34 deg, 1.718 Å, I = 25



No. 2
Starting from a cell relaxed with PBE, the X-ray diffraction stick pattern of Dy6YTh4 was computed for CuKα.
Intensities are scaled so that the largest is 100.

Crystal structure
Lattice parameters (Å, degrees): 18.1746 18.1746 18.1746 169.17 161.48 21.50
Positions (direct):
1 Dy 0.0957 0.0957 0.0000
2 Dy 0.2672 0.2672 0.0000
3 Dy 0.3688 0.3688 0.0000
4 Dy 0.6312 0.6312 0.0000
5 Dy 0.7328 0.7328 0.0000
6 Dy 0.9043 0.9043 0.0000
7 Y 0.0000 0.5000 0.5000
8 Th 0.1821 0.6821 0.5000
9 Th 0.4561 0.9561 0.5000
10 Th 0.5439 0.0439 0.5000
11 Th 0.8179 0.3179 0.5000

Main lines, in order of falling intensity (2θ from 10° to 90°):
- 31.51 deg, 2.839 Å, I = 100
- 30.58 deg, 2.924 Å, I = 65
- 36.43 deg, 2.466 Å, I = 49
- 33.83 deg, 2.650 Å, I = 36
- 27.05 deg, 3.297 Å, I = 33
- 63.35 deg, 1.468 Å, I = 27
- 41.27 deg, 2.188 Å, I = 22
- 54.94 deg, 1.671 Å, I = 20
- 28.87 deg, 3.092 Å, I = 16
- 16.89 deg, 5.249 Å, I = 15



No. 3
Starting from a cell relaxed with PBE, the X-ray diffraction stick pattern of Dy2Y2Th3 was computed for CuKα.
Intensities are scaled so that the largest is 100.

Crystal structure
Lattice parameters (Å, degrees): 11.5947 11.5947 11.5947 162.72 150.53 34.36
Positions (direct):
1 Dy 0.1377 0.1377 0.0000
2 Dy 0.8623 0.8623 0.0000
3 Y 0.4177 0.4177 0.0000
4 Y 0.5823 0.5823 0.0000
5 Th 0.0000 0.5000 0.5000
6 Th 0.2744 0.7744 0.5000
7 Th 0.7256 0.2256 0.5000

Main lines, in order of falling intensity (2θ from 10° to 90°):
- 33.99 deg, 2.637 Å, I = 100
- 32.10 deg, 2.789 Å, I = 72
- 30.31 deg, 2.949 Å, I = 48
- 28.33 deg, 3.150 Å, I = 41
- 61.84 deg, 1.500 Å, I = 37
- 52.50 deg, 1.743 Å, I = 30
- 41.97 deg, 2.153 Å, I = 29
- 56.24 deg, 1.636 Å, I = 25
- 62.92 deg, 1.477 Å, I = 21
- 54.99 deg, 1.670 Å, I = 16



No. 4
Starting from a cell relaxed with PBE, the X-ray diffraction stick pattern of DyYThZr was computed for CuKα.
Intensities are scaled so that the largest is 100.

Crystal structure
Lattice parameters (Å, degrees): 5.4909 5.4909 5.4909 60.00 60.00 60.00
Positions (direct):
1 Dy 0.0000 0.0000 0.0000
2 Y 0.2500 0.2500 0.2500
3 Th 0.7500 0.7500 0.7500
4 Zr 0.5000 0.5000 0.5000

Main lines, in order of falling intensity (2θ from 10° to 90°):
- 32.62 deg, 2.745 Å, I = 100
- 58.20 deg, 1.585 Å, I = 38
- 46.80 deg, 1.941 Å, I = 18
- 77.79 deg, 1.228 Å, I = 16
- 19.80 deg, 4.483 Å, I = 15
- 68.33 deg, 1.373 Å, I = 12
- 38.45 deg, 2.341 Å, I = 9
- 86.91 deg, 1.121 Å, I = 4
- 51.28 deg, 1.781 Å, I = 4
- 62.11 deg, 1.494 Å, I = 3



No. 5
Starting from a cell relaxed with PBE, the X-ray diffraction stick pattern of Dy3Ti was computed for CuKα.
Intensities are scaled so that the largest is 100.

Crystal structure
Lattice parameters (Å, degrees): 6.4124 6.4124 6.4124 148.68 64.77 124.89
Positions (direct):
1 Dy 0.0000 0.0000 0.0000
2 Dy 0.1367 0.3682 0.7685
3 Dy 0.5997 0.3682 0.2315
4 Ti 0.5291 0.0291 0.5000

Main lines, in order of falling intensity (2θ from 10° to 90°):
- 34.26 deg, 2.617 Å, I = 100
- 34.47 deg, 2.602 Å, I = 35
- 33.09 deg, 2.708 Å, I = 30
- 30.12 deg, 2.967 Å, I = 19
- 29.89 deg, 2.990 Å, I = 19
- 53.35 deg, 1.717 Å, I = 16
- 64.23 deg, 1.450 Å, I = 16
- 59.85 deg, 1.545 Å, I = 15
- 28.95 deg, 3.084 Å, I = 15
- 64.69 deg, 1.441 Å, I = 11



No. 6
Starting from a cell relaxed with PBE, the X-ray diffraction stick pattern of DyZr2Ti was computed for CuKα.
Intensities are scaled so that the largest is 100.

Crystal structure
Lattice parameters (Å, degrees): 4.5255 4.5255 4.5462 90.00 90.00 90.00
Positions (direct):
1 Dy 0.0000 0.0000 0.0000
2 Zr 0.0000 0.5000 0.5000
3 Zr 0.5000 0.0000 0.5000
4 Ti 0.5000 0.5000 0.0000

Main lines, in order of falling intensity (2θ from 10° to 90°):
- 34.27 deg, 2.617 Å, I = 100
- 39.84 deg, 2.263 Å, I = 33
- 68.77 deg, 1.365 Å, I = 25
- 57.47 deg, 1.604 Å, I = 22
- 39.65 deg, 2.273 Å, I = 17
- 19.61 deg, 4.526 Å, I = 16
- 27.82 deg, 3.207 Å, I = 14
- 68.51 deg, 1.370 Å, I = 13
- 72.20 deg, 1.308 Å, I = 11
- 57.61 deg, 1.600 Å, I = 11



Please write out number 1 again, unchanged.
Starting from a cell relaxed with PBE, the X-ray diffraction stick pattern of Dy2Y2Th3 was computed for CuKα.
Intensities are scaled so that the largest is 100.

Crystal structure
Lattice parameters (Å, degrees): 8.8993 8.8993 8.4587 116.84 116.84 22.53
Positions (direct):
1 Dy 0.1479 0.1479 0.3350
2 Dy 0.8521 0.8521 0.6650
3 Y 0.4316 0.4316 0.0964
4 Y 0.5684 0.5684 0.9036
5 Th 0.0000 0.0000 0.5000
6 Th 0.2127 0.2127 0.7934
7 Th 0.7873 0.7873 0.2066

Main lines, in order of falling intensity (2θ from 10° to 90°):
- 31.00 deg, 2.885 Å, I = 100
- 30.88 deg, 2.896 Å, I = 80
- 33.98 deg, 2.639 Å, I = 66
- 32.44 deg, 2.760 Å, I = 65
- 27.74 deg, 3.216 Å, I = 54
- 62.32 deg, 1.490 Å, I = 44
- 36.11 deg, 2.487 Å, I = 41
- 38.93 deg, 2.314 Å, I = 33
- 55.61 deg, 1.653 Å, I = 26
- 53.34 deg, 1.718 Å, I = 25



What is the formula in the fourth record?
DyYThZr